Theoretical PXRD pattern of Na3MnCoNiO6 for CuKα, from a structure optimized by DFT (GGA+U).

a b c (Å): 7.9760 7.9760 5.6432
angles (deg): 107.61 107.61 21.88
Element x y z (fractional)
Na: 0.0000 0.0000 0.0000
Na: 0.3337 0.3337 0.0042
Na: 0.6651 0.6651 0.0019
Mn: 0.1653 0.1653 0.5020
Co: 0.4914 0.4914 0.5063
Ni: 0.8320 0.8320 0.4937
O: 0.0808 0.0808 0.6950
O: 0.2459 0.2459 0.3026
O: 0.4166 0.4166 0.7080
O: 0.5927 0.5927 0.3128
O: 0.7362 0.7362 0.6961
O: 0.9237 0.9237 0.2885

Peak list (10 most intense, 2θ = 10–80°, by angle)
2theta	d/Å	I (rel.)
16.51	5.369	944
33.38	2.684	239
34.70	2.585	142
36.06	2.491	319
36.17	2.483	158
41.11	2.196	1000
41.22	2.190	477
53.00	1.728	160
57.79	1.595	411
61.46	1.509	253